The following is a calculated powder XRD pattern of Ac5Nd2Sm2. It was derived from DFT lattice parameters and positions (PBE), using Cu Kα (weighted mean of Kα1 and Kα2).

Structural model:
```
Ac5Nd2Sm2
1.0
5.0941 -2.9519 0.0000
5.0941 2.9519 0.0000
-3.4237 0.0000 12.5753
Ac Nd Sm
5 2 2
Direct
0.0000 0.0000 0.0000 Ac
0.1926 0.1926 0.5759 Ac
0.2902 0.2902 0.8682 Ac
0.7098 0.7098 0.1318 Ac
0.8074 0.8074 0.4241 Ac
0.4237 0.4237 0.2740 Nd
0.5763 0.5763 0.7260 Nd
0.0919 0.0919 0.2798 Sm
0.9081 0.9081 0.7202 Sm
```

Most intense lines, 2θ from 10° to 90°, by intensity:
2θ (°)  I (rel.)
30.33  100
29.44  57
31.43  26
25.72  21
60.31  17
24.01  17
53.32  15
42.73  14
53.84  14
44.24  10